1.
AlInAg2O4: computed X-ray diffraction stick pattern (copper Kα), based on a crystal structure in OQMD, relaxed with PBE.
Intensities are scaled so that the largest is 100.

Atomic structure:
Unit cell a=3.070 b=3.070 c=12.658 alpha=90.00 beta=90.00 gamma=120.00
Positions (direct):
Al 0.000 0.000 0.000
In 0.000 0.000 0.500
Ag 0.333 0.667 0.761
Ag 0.667 0.333 0.239
O 0.333 0.667 0.595
O 0.333 0.667 0.928
O 0.667 0.333 0.072
O 0.667 0.333 0.405

Principal peaks in the range 2θ = 10–90°, in order of rising 2θ:
| two_theta | Rel. int. |
| --- | --- |
| 21.06 | 14 |
| 28.20 | 51 |
| 34.47 | 100 |
| 36.66 | 81 |
| 40.08 | 26 |
| 49.73 | 35 |
| 55.61 | 34 |
| 60.29 | 28 |
| 62.07 | 11 |
| 67.85 | 24 |
| 72.67 | 11 |
| 88.80 | 11 |

2.
LaAl5AgIr: computed X-ray diffraction stick pattern (copper Kα), based on a crystal structure in OQMD, relaxed with PBE.
Intensities are scaled so that the largest is 100.

Atomic structure:
Unit cell a=4.138 b=7.351 c=10.026 alpha=90.00 beta=90.00 gamma=90.00
Positions (direct):
La 0.000 0.000 0.000
La 0.500 0.500 0.500
Al 0.000 0.180 0.344
Al 0.000 0.198 0.640
Al 0.000 0.500 0.997
Al 0.000 0.802 0.640
Al 0.000 0.820 0.344
Al 0.500 0.000 0.497
Al 0.500 0.302 0.140
Al 0.500 0.320 0.844
Al 0.500 0.680 0.844
Al 0.500 0.698 0.140
Ag 0.000 0.500 0.246
Ag 0.500 0.000 0.746
Ir 0.000 0.500 0.757
Ir 0.500 0.000 0.257

Principal peaks in the range 2θ = 10–90°, in order of rising 2θ:
| two_theta | Rel. int. |
| --- | --- |
| 14.94 | 20 |
| 17.69 | 17 |
| 24.21 | 42 |
| 30.54 | 100 |
| 33.82 | 26 |
| 35.83 | 15 |
| 43.73 | 52 |
| 46.74 | 37 |
| 50.61 | 16 |
| 61.12 | 16 |
| 63.57 | 21 |
| 72.16 | 14 |

3.
Li2Mg2Al2AgIr: computed X-ray diffraction stick pattern (copper Kα), based on a crystal structure in OQMD, relaxed with PBE.
Intensities are scaled so that the largest is 100.

Atomic structure:
Unit cell a=4.434 b=4.434 c=6.372 alpha=90.00 beta=90.00 gamma=90.00
Positions (direct):
Li 0.000 0.000 0.000
Li 0.500 0.500 0.500
Mg 0.000 0.500 0.242
Mg 0.500 0.000 0.758
Al 0.000 0.500 0.779
Al 0.500 0.000 0.221
Ag 0.000 0.000 0.500
Ir 0.500 0.500 0.000

Principal peaks in the range 2θ = 10–90°, in order of rising 2θ:
| two_theta | Rel. int. |
| --- | --- |
| 13.90 | 8 |
| 24.46 | 100 |
| 28.00 | 9 |
| 28.47 | 17 |
| 40.36 | 54 |
| 40.70 | 27 |
| 47.46 | 17 |
| 48.06 | 32 |
| 58.92 | 9 |
| 64.26 | 13 |
| 73.15 | 9 |
| 73.84 | 18 |

4.
La2Al7Ag: computed X-ray diffraction stick pattern (copper Kα), based on a crystal structure in OQMD, relaxed with PBE.
Intensities are scaled so that the largest is 100.

Atomic structure:
Unit cell a=4.370 b=4.370 c=11.097 alpha=90.00 beta=90.00 gamma=90.00
Positions (direct):
La 0.000 0.500 0.247
La 0.500 0.000 0.753
Al 0.000 0.000 0.000
Al 0.000 0.500 0.633
Al 0.000 0.500 0.863
Al 0.500 0.000 0.137
Al 0.500 0.000 0.367
Al 0.500 0.500 0.000
Al 0.500 0.500 0.500
Ag 0.000 0.000 0.500

Principal peaks in the range 2θ = 10–90°, in order of rising 2θ:
| two_theta | Rel. int. |
| --- | --- |
| 21.86 | 53 |
| 31.69 | 58 |
| 32.27 | 15 |
| 33.19 | 100 |
| 41.33 | 39 |
| 45.86 | 25 |
| 47.23 | 14 |
| 53.00 | 27 |
| 53.38 | 14 |
| 58.13 | 16 |
| 63.42 | 19 |
| 70.19 | 22 |

5.
La2PrAl3AgPd2: computed X-ray diffraction stick pattern (copper Kα), based on a crystal structure in OQMD, relaxed with PBE.
Intensities are scaled so that the largest is 100.

Atomic structure:
Unit cell a=4.303 b=7.365 c=7.365 alpha=120.51 beta=90.00 gamma=90.00
Positions (direct):
La 0.000 0.213 0.787
La 0.000 0.787 0.213
Pr 0.000 0.636 0.636
Al 0.500 0.215 0.447
Al 0.500 0.447 0.215
Al 0.500 0.975 0.975
Ag 0.000 0.211 0.211
Pd 0.500 0.546 0.882
Pd 0.500 0.882 0.546

Principal peaks in the range 2θ = 10–90°, in order of rising 2θ:
| two_theta | Rel. int. |
| --- | --- |
| 20.64 | 16 |
| 24.17 | 24 |
| 24.36 | 12 |
| 27.90 | 13 |
| 28.13 | 22 |
| 31.99 | 61 |
| 32.14 | 31 |
| 34.96 | 50 |
| 35.14 | 100 |
| 41.99 | 34 |
| 42.75 | 18 |
| 61.48 | 12 |

6.
La2TbAl7Ag2: computed X-ray diffraction stick pattern (copper Kα), based on a crystal structure in OQMD, relaxed with PBE.
Intensities are scaled so that the largest is 100.

Atomic structure:
Unit cell a=9.543 b=9.543 c=9.543 alpha=34.50 beta=34.50 gamma=34.50
Positions (direct):
La 0.142 0.142 0.142
La 0.858 0.858 0.858
Tb 0.000 0.000 0.000
Al 0.074 0.585 0.585
Al 0.415 0.415 0.926
Al 0.415 0.926 0.415
Al 0.500 0.500 0.500
Al 0.585 0.074 0.585
Al 0.585 0.585 0.074
Al 0.926 0.415 0.415
Ag 0.336 0.336 0.336
Ag 0.664 0.664 0.664

Principal peaks in the range 2θ = 10–90°, in order of rising 2θ:
| two_theta | Rel. int. |
| --- | --- |
| 18.40 | 14 |
| 19.80 | 36 |
| 29.54 | 24 |
| 31.62 | 80 |
| 32.29 | 19 |
| 36.83 | 14 |
| 37.59 | 100 |
| 44.07 | 15 |
| 56.32 | 15 |
| 60.30 | 24 |
| 61.19 | 16 |
| 66.04 | 17 |

7.
La2TmAl7Ag2: computed X-ray diffraction stick pattern (copper Kα), based on a crystal structure in OQMD, relaxed with PBE.
Intensities are scaled so that the largest is 100.

Atomic structure:
Unit cell a=9.526 b=9.526 c=9.526 alpha=34.44 beta=34.44 gamma=34.44
Positions (direct):
La 0.142 0.142 0.142
La 0.858 0.858 0.858
Tm 0.000 0.000 0.000
Al 0.074 0.584 0.584
Al 0.416 0.416 0.926
Al 0.416 0.926 0.416
Al 0.500 0.500 0.500
Al 0.584 0.074 0.584
Al 0.584 0.584 0.074
Al 0.926 0.416 0.416
Ag 0.336 0.336 0.336
Ag 0.664 0.664 0.664

Principal peaks in the range 2θ = 10–90°, in order of rising 2θ:
| two_theta | Rel. int. |
| --- | --- |
| 18.46 | 16 |
| 19.84 | 36 |
| 29.61 | 25 |
| 31.73 | 80 |
| 32.36 | 19 |
| 36.96 | 15 |
| 37.70 | 100 |
| 44.19 | 16 |
| 56.52 | 15 |
| 60.50 | 24 |
| 61.33 | 16 |
| 66.28 | 17 |

8.
Li4MgAlAg2: computed X-ray diffraction stick pattern (copper Kα), based on a crystal structure in OQMD, relaxed with PBE.
Intensities are scaled so that the largest is 100.

Atomic structure:
Unit cell a=4.508 b=4.508 c=6.336 alpha=90.00 beta=90.00 gamma=90.00
Positions (direct):
Li 0.000 0.000 0.000
Li 0.000 0.500 0.743
Li 0.500 0.000 0.257
Li 0.500 0.500 0.500
Mg 0.500 0.500 0.000
Al 0.000 0.000 0.500
Ag 0.000 0.500 0.267
Ag 0.500 0.000 0.733

Principal peaks in the range 2θ = 10–90°, in order of rising 2θ:
| two_theta | Rel. int. |
| --- | --- |
| 24.23 | 100 |
| 27.99 | 22 |
| 28.17 | 10 |
| 40.00 | 25 |
| 40.13 | 47 |
| 47.32 | 32 |
| 47.54 | 14 |
| 49.64 | 8 |
| 57.85 | 8 |
| 63.83 | 11 |
| 72.74 | 15 |
| 77.88 | 7 |

9.
Li2MgScAl2Ag2: computed X-ray diffraction stick pattern (copper Kα), based on a crystal structure in OQMD, relaxed with PBE.
Intensities are scaled so that the largest is 100.

Atomic structure:
Unit cell a=4.585 b=4.585 c=6.442 alpha=90.00 beta=90.00 gamma=90.00
Positions (direct):
Li 0.000 0.500 0.241
Li 0.500 0.000 0.759
Mg 0.500 0.500 0.000
Sc 0.000 0.000 0.500
Al 0.000 0.000 0.000
Al 0.500 0.500 0.500
Ag 0.000 0.500 0.752
Ag 0.500 0.000 0.248

Principal peaks in the range 2θ = 10–90°, in order of rising 2θ:
| two_theta | Rel. int. |
| --- | --- |
| 23.82 | 100 |
| 27.51 | 9 |
| 39.31 | 37 |
| 39.44 | 73 |
| 46.48 | 32 |
| 46.71 | 16 |
| 56.80 | 12 |
| 62.65 | 12 |
| 71.34 | 23 |
| 71.61 | 11 |
| 76.34 | 7 |
| 84.88 | 7 |

10.
Li2Sc2Al2AgPd: computed X-ray diffraction stick pattern (copper Kα), based on a crystal structure in OQMD, relaxed with PBE.
Intensities are scaled so that the largest is 100.

Atomic structure:
Unit cell a=4.541 b=4.541 c=6.430 alpha=90.00 beta=90.00 gamma=90.00
Positions (direct):
Li 0.000 0.000 0.000
Li 0.500 0.500 0.500
Sc 0.000 0.500 0.240
Sc 0.500 0.000 0.760
Al 0.000 0.500 0.757
Al 0.500 0.000 0.243
Ag 0.000 0.000 0.500
Pd 0.500 0.500 0.000

Principal peaks in the range 2θ = 10–90°, in order of rising 2θ:
| two_theta | Rel. int. |
| --- | --- |
| 23.99 | 84 |
| 27.77 | 7 |
| 39.68 | 100 |
| 46.91 | 40 |
| 49.13 | 2 |
| 57.37 | 16 |
| 63.08 | 16 |
| 64.91 | 3 |
| 72.01 | 32 |
| 77.11 | 6 |
| 77.19 | 6 |
| 85.51 | 10 |

11.
Li4Al2AgPt: computed X-ray diffraction stick pattern (copper Kα), based on a crystal structure in OQMD, relaxed with PBE.
Intensities are scaled so that the largest is 100.

Atomic structure:
Unit cell a=4.346 b=4.346 c=6.144 alpha=90.00 beta=90.00 gamma=90.00
Positions (direct):
Li 0.000 0.000 0.000
Li 0.000 0.500 0.746
Li 0.500 0.000 0.254
Li 0.500 0.500 0.500
Al 0.000 0.500 0.274
Al 0.500 0.000 0.726
Ag 0.500 0.500 0.000
Pt 0.000 0.000 0.500

Principal peaks in the range 2θ = 10–90°, in order of rising 2θ:
| two_theta | Rel. int. |
| --- | --- |
| 14.42 | 7 |
| 20.44 | 5 |
| 25.10 | 100 |
| 29.06 | 37 |
| 41.56 | 63 |
| 49.17 | 48 |
| 51.51 | 10 |
| 60.23 | 10 |
| 66.29 | 19 |
| 68.25 | 13 |
| 75.84 | 21 |
| 81.36 | 15 |

12.
LiAl2AgSe4: computed X-ray diffraction stick pattern (copper Kα), based on a crystal structure in OQMD, relaxed with PBE.
Intensities are scaled so that the largest is 100.

Atomic structure:
Unit cell a=5.958 b=5.958 c=11.007 alpha=90.00 beta=90.00 gamma=90.00
Positions (direct):
Li 0.000 0.000 0.000
Li 0.500 0.500 0.500
Al 0.000 0.000 0.500
Al 0.000 0.500 0.750
Al 0.500 0.000 0.250
Al 0.500 0.500 0.000
Ag 0.000 0.500 0.250
Ag 0.500 0.000 0.750
Se 0.221 0.742 0.621
Se 0.242 0.279 0.879
Se 0.258 0.221 0.379
Se 0.279 0.758 0.121
Se 0.721 0.242 0.121
Se 0.742 0.779 0.379
Se 0.758 0.721 0.879
Se 0.779 0.258 0.621

Principal peaks in the range 2θ = 10–90°, in order of rising 2θ:
| two_theta | Rel. int. |
| --- | --- |
| 16.92 | 11 |
| 21.09 | 8 |
| 26.65 | 100 |
| 28.57 | 8 |
| 34.64 | 12 |
| 42.93 | 23 |
| 44.84 | 42 |
| 51.25 | 28 |
| 54.56 | 13 |
| 62.34 | 7 |
| 71.82 | 10 |
| 80.02 | 13 |